# K2VWO6
Simulated powder XRD pattern, copper Kα. Input: a cell relaxed with GGA+U.
Peak positions follow from Bragg's law for the DFT cell and can differ from measured ones.

Atomic structure:
Lattice parameters (Å, degrees): 5.6031 5.6031 4.0115 90.00 90.00 90.00
Fractional coordinates of all 10 atoms:
K: 0.0000 0.5000 0.0000
K: 0.5000 0.0000 0.0000
V: 0.0000 0.0000 0.4590
W: 0.5000 0.5000 0.5034
O: 0.0000 0.0000 0.0310
O: 0.2552 0.2552 0.5117
O: 0.2552 0.7448 0.5117
O: 0.5000 0.5000 0.0114
O: 0.7448 0.2552 0.5117
O: 0.7448 0.7448 0.5117

Top 8 peaks for 2θ from 5° to 70°, sorted by position:
(hkl)  two_theta  d_spacing  I/Imax
1 0 0  15.82  5.603  58
0 0 1  22.16  4.012  26
1 1 0  22.44  3.962  52
1 0 1  27.34  3.262  34
1 1 1  31.74  2.819  100
2 0 0  31.95  2.802  50
2 2 0  45.80  1.981  37
3 1 1  56.80  1.621  37